Entry 1:
The following is a theoretical X-ray diffraction stick pattern of Li2Ti3O6. It was derived from DFT lattice parameters and positions (PBE), using copper Kα.

Structure:
```
data_Li2Ti3O6
_symmetry_space_group_name_H-M 'P 1'
_symmetry_Int_Tables_number 1
_cell_length_a 9.5895
_cell_length_b 9.0232
_cell_length_c 5.1801
_cell_angle_alpha 79.96
_cell_angle_beta 67.90
_cell_angle_gamma 32.13
loop_
_symmetry_equiv_pos_as_xyz
'x,y,z'
loop_
_atom_site_label
_atom_site_fract_x
_atom_site_fract_y
_atom_site_fract_z
Li1 0.0440 0.0440 0.7060
Li2 0.2940 0.2940 0.9560
Li3 0.7060 0.7060 0.0440
Li4 0.9560 0.9560 0.2940
Ti1 0.1250 0.1250 0.1250
Ti2 0.2101 0.2101 0.5399
Ti3 0.4601 0.4601 0.7899
Ti4 0.5399 0.5399 0.2101
Ti5 0.7899 0.7899 0.4601
Ti6 0.8750 0.8750 0.8750
O1 0.0240 0.5545 0.7078
O2 0.1114 0.6386 0.1114
O3 0.2137 0.7078 0.5545
O4 0.2922 0.7863 0.9760
O5 0.3614 0.8886 0.3614
O6 0.4455 0.9760 0.7863
O7 0.5545 0.0240 0.2137
O8 0.6386 0.1114 0.6386
O9 0.7078 0.2137 0.0240
O10 0.7863 0.2922 0.4455
O11 0.8886 0.3614 0.8886
O12 0.9760 0.4455 0.2922
```

Peak list (8 most intense, 15° ≤ 2θ ≤ 90°, by intensity)
2θ 24.3, I 100.0
2θ 44.9, I 54.2
2θ 41.8, I 33.7
2θ 63.0, I 31.9
2θ 51.7, I 21.3
2θ 38.4, I 18.3
2θ 65.4, I 14.2
2θ 80.7, I 13.7

=====

Entry 2:
The following is a theoretical X-ray diffraction stick pattern of Li6Ti2O7. It was derived from DFT lattice parameters and positions (PBE), using copper Kα.

Structure:
```
data_Li6Ti2O7
_symmetry_space_group_name_H-M 'P 1'
_symmetry_Int_Tables_number 1
_cell_length_a 10.0888
_cell_length_b 10.0888
_cell_length_c 2.9632
_cell_angle_alpha 90.00
_cell_angle_beta 90.00
_cell_angle_gamma 90.00
loop_
_symmetry_equiv_pos_as_xyz
'x,y,z'
loop_
_atom_site_label
_atom_site_fract_x
_atom_site_fract_y
_atom_site_fract_z
Li1 0.0851 0.0851 0.0000
Li2 0.1079 0.3002 0.4965
Li3 0.1998 0.6079 0.9965
Li4 0.3002 0.1079 0.4965
Li5 0.3921 0.8002 0.9965
Li6 0.4149 0.5851 0.5000
Li7 0.5851 0.4149 0.5000
Li8 0.6079 0.1998 0.9965
Li9 0.6998 0.8921 0.4965
Li10 0.8002 0.3921 0.9965
Li11 0.8921 0.6998 0.4965
Li12 0.9149 0.9149 0.0000
Ti1 0.1529 0.8471 0.5129
Ti2 0.3471 0.3471 0.0129
Ti3 0.6529 0.6529 0.0129
Ti4 0.8471 0.1529 0.5129
O1 0.0000 0.0000 0.5000
O2 0.0532 0.7555 0.9949
O3 0.2183 0.2183 0.9965
O4 0.2445 0.9468 0.9949
O5 0.2555 0.4468 0.4949
O6 0.2817 0.7183 0.4965
O7 0.4468 0.2555 0.4949
O8 0.5000 0.5000 0.0000
O9 0.5532 0.7445 0.4949
O10 0.7183 0.2817 0.4965
O11 0.7445 0.5532 0.4949
O12 0.7555 0.0532 0.9949
O13 0.7817 0.7817 0.9965
O14 0.9468 0.2445 0.9949
```

Peak list (8 most intense, 15° ≤ 2θ ≤ 90°, by intensity)
2θ 19.7, I 100.0
2θ 17.6, I 40.7
2θ 39.5, I 32.4
2θ 32.7, I 21.2
2θ 37.8, I 18.1
2θ 55.9, I 17.3
2θ 49.1, I 14.8
2θ 44.9, I 13.7

=====

Entry 3:
The following is a theoretical X-ray diffraction stick pattern of Li10Ti4O13. It was derived from DFT lattice parameters and positions (PBE), using copper Kα.

Structure:
```
data_Li10Ti4O13
_symmetry_space_group_name_H-M 'P 1'
_symmetry_Int_Tables_number 1
_cell_length_a 7.7848
_cell_length_b 8.9533
_cell_length_c 10.7410
_cell_angle_alpha 66.12
_cell_angle_beta 71.97
_cell_angle_gamma 76.12
loop_
_symmetry_equiv_pos_as_xyz
'x,y,z'
loop_
_atom_site_label
_atom_site_fract_x
_atom_site_fract_y
_atom_site_fract_z
Li1 0.0102 0.1957 0.0774
Li2 0.1075 0.5272 0.8864
Li3 0.1405 0.0384 0.6138
Li4 0.1919 0.7046 0.5343
Li5 0.2057 0.4388 0.4072
Li6 0.2421 0.5729 0.1036
Li7 0.3619 0.2868 0.9781
Li8 0.3994 0.0055 0.8732
Li9 0.4831 0.8854 0.4025
Li10 0.4877 0.4591 0.6303
Li11 0.5123 0.5409 0.3697
Li12 0.5169 0.1146 0.5975
Li13 0.6006 0.9945 0.1268
Li14 0.6381 0.7132 0.0219
Li15 0.7579 0.4271 0.8964
Li16 0.7943 0.5612 0.5928
Li17 0.8081 0.2954 0.4657
Li18 0.8595 0.9616 0.3862
Li19 0.8925 0.4728 0.1136
Li20 0.9898 0.8043 0.9226
Ti1 0.1517 0.2984 0.7306
Ti2 0.1836 0.1886 0.2808
Ti3 0.2485 0.8290 0.2227
Ti4 0.4062 0.7470 0.7423
Ti5 0.5938 0.2530 0.2577
Ti6 0.7515 0.1710 0.7773
Ti7 0.8164 0.8114 0.7192
Ti8 0.8483 0.7016 0.2694
O1 0.0823 0.2273 0.4414
O2 0.1018 0.0289 0.2429
O3 0.1039 0.6672 0.2581
O4 0.1454 0.3698 0.1315
O5 0.1751 0.3020 0.8927
O6 0.2281 0.6826 0.9030
O7 0.2567 0.1004 0.7224
O8 0.2615 0.4605 0.5788
O9 0.3080 0.8405 0.5914
O10 0.3744 0.7528 0.3510
O11 0.4101 0.8524 0.0586
O12 0.4331 0.1189 0.2553
O13 0.4430 0.4359 0.2702
O14 0.5570 0.5641 0.7298
O15 0.5669 0.8811 0.7447
O16 0.5899 0.1476 0.9414
O17 0.6256 0.2472 0.6490
O18 0.6920 0.1595 0.4086
O19 0.7385 0.5395 0.4212
O20 0.7433 0.8996 0.2776
O21 0.7719 0.3174 0.0970
O22 0.8249 0.6980 0.1073
O23 0.8546 0.6302 0.8685
O24 0.8961 0.3328 0.7419
O25 0.8982 0.9711 0.7571
O26 0.9177 0.7727 0.5586
```

Peak list (8 most intense, 15° ≤ 2θ ≤ 90°, by intensity)
2θ 18.6, I 100.0
2θ 21.9, I 43.7
2θ 25.3, I 43.6
2θ 23.1, I 36.8
2θ 20.2, I 29.1
2θ 34.2, I 23.8
2θ 28.0, I 23.0
2θ 37.1, I 21.1

=====

Entry 4:
The following is a theoretical X-ray diffraction stick pattern of Li5Ti12O24. It was derived from DFT lattice parameters and positions (PBE), using copper Kα.

Structure:
```
data_Li5Ti12O24
_symmetry_space_group_name_H-M 'P 1'
_symmetry_Int_Tables_number 1
_cell_length_a 5.0880
_cell_length_b 8.8873
_cell_length_c 9.7378
_cell_angle_alpha 90.00
_cell_angle_beta 90.10
_cell_angle_gamma 90.00
loop_
_symmetry_equiv_pos_as_xyz
'x,y,z'
loop_
_atom_site_label
_atom_site_fract_x
_atom_site_fract_y
_atom_site_fract_z
Li1 0.0000 0.0000 0.0000
Li2 0.0052 0.3336 0.9993
Li3 0.0052 0.6664 0.9993
Li4 0.3710 0.0000 0.5032
Li5 0.5106 0.5000 0.4336
Ti1 0.4150 0.0000 0.8231
Ti2 0.4268 0.3354 0.8238
Ti3 0.4268 0.6646 0.8238
Ti4 0.4600 0.1643 0.1080
Ti5 0.4600 0.8357 0.1080
Ti6 0.4699 0.5000 0.1092
Ti7 0.9108 0.1732 0.6056
Ti8 0.9108 0.8268 0.6056
Ti9 0.9359 0.5000 0.6107
Ti10 0.9414 0.0000 0.3256
Ti11 0.9702 0.3264 0.3312
Ti12 0.9702 0.6736 0.3312
O1 0.1342 0.3288 0.6921
O2 0.1342 0.6712 0.6921
O3 0.1403 0.1628 0.4309
O4 0.1403 0.8372 0.4309
O5 0.1432 0.5000 0.4296
O6 0.1439 0.0000 0.6802
O7 0.2245 0.0000 0.1812
O8 0.2290 0.3363 0.1797
O9 0.2290 0.6637 0.1797
O10 0.2297 0.1661 0.9322
O11 0.2297 0.8339 0.9322
O12 0.2327 0.5000 0.9311
O13 0.6323 0.1634 0.7428
O14 0.6323 0.8366 0.7428
O15 0.6337 0.0000 0.0005
O16 0.6364 0.5000 0.7404
O17 0.6367 0.3337 0.0003
O18 0.6367 0.6663 0.0003
O19 0.7307 0.5000 0.2531
O20 0.7387 0.0000 0.5015
O21 0.7434 0.1727 0.2410
O22 0.7435 0.3367 0.5014
O23 0.7435 0.6633 0.5014
O24 0.7434 0.8273 0.2410
```

Peak list (8 most intense, 15° ≤ 2θ ≤ 90°, by intensity)
2θ 19.7, I 100.0
2θ 32.7, I 39.0
2θ 50.9, I 33.3
2θ 36.3, I 31.4
2θ 39.8, I 21.0
2θ 35.5, I 18.8
2θ 59.7, I 16.6
2θ 65.6, I 11.1